Al4Si2Ni: computed powder diffraction line list (Cu Kα), based on a cell relaxed with GGA-PBE.
Intensities are scaled so that the largest is 100.

Largest 6 diffraction maxima, in order of falling intensity, 2θ = 10–90°:
| 2theta | I (rel.) | h k l |
| --- | --- | --- |
| 27.68 | 100 | 0 1 2 |
| 46.17 | 93 | 1 1 0 |
| 41.25 | 72 | 0 1 7 |
| 48.95 | 55 | 1 0 9 |
| 26.17 | 46 | 1 0 0 |
| 87.62 | 20 | 2 1 9 |

Crystal structure
```
data_Al4Si2Ni
_symmetry_space_group_name_H-M 'P 1'
_symmetry_Int_Tables_number 1
_symmetry_space_group_name_Hall 'P 1'
_cell_length_a 3.932
_cell_length_b 3.932
_cell_length_c 19.994
_cell_angle_alpha 90.00
_cell_angle_beta 90.00
_cell_angle_gamma 120.00
loop_
_atom_site_label
_atom_site_fract_x
_atom_site_fract_y
_atom_site_fract_z
Al1 0.333 0.667 0.043
Al2 0.333 0.667 0.336
Al3 0.333 0.667 0.578
Al4 0.333 0.667 0.788
Al5 0.667 0.333 0.212
Al6 0.667 0.333 0.422
Al7 0.667 0.333 0.664
Al8 0.667 0.333 0.957
Si1 0.000 0.000 0.269
Si2 0.000 0.000 0.731
Si3 0.333 0.667 0.912
Si4 0.667 0.333 0.088
Ni1 0.333 0.667 0.458
Ni2 0.667 0.333 0.542
```